Record 1
Structure and calculated powder diffraction line list of NbF5 (a crystal structure in the Materials Project, relaxed with GGA-PBE; Cu Kα, 1.54184 Å).
Kinematic intensities with the Lorentz-polarization factor, no thermal factor.

Principal peaks in the range 2θ = 10–80°, most intense first:
| d [Å] | intensity | index |
| --- | --- | --- |
| 4.133 | 100 | 2 2 0 |
| 4.341 | 78 | 1 1 1 |
| 3.485 | 63 | 1 3 -1 |
| 2.091 | 50 | 3 5 -1 |
| 5.338 | 30 | 0 0 1 |
| 2.269 | 29 | 2 0 2 |
| 4.447 | 26 | 1 3 0 |
| 4.642 | 20 | 1 1 -1 |
| 8.265 | 19 | 1 1 0 |
| 1.547 | 16 | 5 5 1 |

Structural model:
a = 9.966 Å, b = 14.920 Å, c = 5.359 Å
α = 90.00°, β = 95.05°, γ = 90.00°
Space group C2/m (No. 12)
Asymmetric unit:
1 Nb 0.000 0.200 0.000
2 Nb 0.243 0.500 0.250
3 F 0.103 0.180 0.310
4 F 0.117 0.283 0.876
5 F 0.121 0.095 0.879
6 F 0.134 0.000 0.462
7 F 0.135 0.406 0.348
8 F 0.171 0.500 0.909

Record 2
Structure and calculated powder diffraction line list of NbF5 (a crystal structure in the Materials Project, relaxed with GGA-PBE; Cu Kα, 1.54184 Å).
Kinematic intensities with the Lorentz-polarization factor, no thermal factor.

Principal peaks in the range 2θ = 10–80°, most intense first:
| d [Å] | intensity | index |
| --- | --- | --- |
| 4.052 | 100 | 2 2 0 |
| 1.996 | 21 | 3 5 -1 |
| 4.137 | 21 | 1 1 1 |
| 3.266 | 18 | 1 3 -1 |
| 3.510 | 17 | 2 0 -1 |
| 4.335 | 16 | 1 3 0 |
| 8.101 | 13 | 1 1 0 |
| 3.401 | 12 | 2 0 1 |
| 1.701 | 11 | 4 0 2 |
| 2.116 | 11 | 1 3 2 |

Structural model:
a = 9.769 Å, b = 14.513 Å, c = 4.890 Å
α = 90.00°, β = 91.82°, γ = 90.00°
Space group C2/m (No. 12)
Asymmetric unit:
1 Nb 0.000 0.196 0.000
2 Nb 0.244 0.500 0.372
3 F 0.107 0.000 0.378
4 F 0.113 0.183 0.321
5 F 0.114 0.282 0.837
6 F 0.126 0.090 0.850
7 F 0.127 0.403 0.270
8 F 0.151 0.500 0.708

Record 3
Structure and calculated powder diffraction line list of Nb2F5 (a crystal structure in the Materials Project, relaxed with GGA-PBE; Cu Kα, 1.54184 Å).
Kinematic intensities with the Lorentz-polarization factor, no thermal factor.

Principal peaks in the range 2θ = 10–80°, most intense first:
| d [Å] | intensity | index |
| --- | --- | --- |
| 5.910 | 100 | 1 1 0 |
| 2.089 | 62 | 4 0 0 |
| 3.412 | 47 | 2 1 1 |
| 2.234 | 46 | 3 2 1 |
| 1.477 | 35 | 4 4 0 |
| 2.955 | 20 | 2 2 0 |
| 4.179 | 17 | 2 0 0 |
| 1.782 | 17 | 3 3 2 |
| 1.639 | 16 | 5 1 0 |
| 2.643 | 15 | 3 1 0 |

Structural model:
a = 8.358 Å, b = 8.358 Å, c = 8.358 Å
α = 90.00°, β = 90.00°, γ = 90.00°
Space group Im-3m (No. 229)
Asymmetric unit:
1 Nb 0.000 0.000 0.239
2 F 0.000 0.000 0.500
3 F 0.000 0.250 0.250

Record 4
Structure and calculated powder diffraction line list of NbO2F (a crystal structure in the Materials Project, relaxed with GGA-PBE; Cu Kα, 1.54184 Å).
Kinematic intensities with the Lorentz-polarization factor, no thermal factor.

Principal peaks in the range 2θ = 10–80°, most intense first:
| d [Å] | intensity | index |
| --- | --- | --- |
| 3.966 | 100 | 1 1 -1 |
| 3.808 | 49 | 2 0 0 |
| 2.784 | 30 | 1 1 1 |
| 1.983 | 19 | 2 2 -2 |
| 2.710 | 16 | 3 1 -1 |
| 2.832 | 12 | 2 0 -2 |
| 1.788 | 11 | 3 1 -3 |
| 1.779 | 10 | 0 2 2 |
| 1.735 | 10 | 3 1 1 |
| 1.904 | 9 | 4 0 0 |

Structural model:
a = 9.318 Å, b = 5.555 Å, c = 5.668 Å
α = 90.00°, β = 125.17°, γ = 90.00°
Space group Cc (No. 9)
Asymmetric unit:
1 Nb 0.000 0.220 0.000
2 O 0.038 0.043 0.758
3 O 0.250 0.321 0.272
4 F 0.460 0.039 0.766

Record 5
Structure and calculated powder diffraction line list of NbO2F (a crystal structure in the Materials Project, relaxed with GGA-PBE; Cu Kα, 1.54184 Å).
Kinematic intensities with the Lorentz-polarization factor, no thermal factor.

Principal peaks in the range 2θ = 10–80°, most intense first:
| d [Å] | intensity | index |
| --- | --- | --- |
| 3.826 | 100 | 1 1 -1 |
| 4.042 | 52 | 2 0 0 |
| 2.751 | 31 | 2 0 -2 |
| 2.809 | 23 | 1 1 1 |
| 1.913 | 18 | 2 2 -2 |
| 1.803 | 12 | 3 1 1 |
| 2.021 | 11 | 4 0 0 |
| 1.744 | 11 | 0 2 2 |
| 1.735 | 11 | 3 1 -3 |
| 1.771 | 10 | 5 1 -1 |

Structural model:
a = 9.641 Å, b = 5.318 Å, c = 5.511 Å
α = 90.00°, β = 123.03°, γ = 90.00°
Space group C2/c (No. 15)
Asymmetric unit:
1 Nb 0.250 0.250 0.000
2 O 0.208 0.030 0.239
3 F 0.000 0.347 0.750

Record 6
Structure and calculated powder diffraction line list of Nb2O2F3 (a crystal structure in the Materials Project, relaxed with GGA-PBE; Cu Kα, 1.54184 Å).
Kinematic intensities with the Lorentz-polarization factor, no thermal factor.

Principal peaks in the range 2θ = 10–80°, most intense first:
| d [Å] | intensity | index |
| --- | --- | --- |
| 3.871 | 100 | 1 1 -1 |
| 3.901 | 91 | 1 -1 0 |
| 6.207 | 69 | 0 0 1 |
| 3.223 | 58 | 1 -1 1 |
| 3.152 | 51 | 1 1 -2 |
| 1.786 | 33 | 1 3 -1 |
| 3.104 | 30 | 0 0 2 |
| 2.543 | 25 | 1 1 1 |
| 1.832 | 25 | 2 -2 1 |
| 2.498 | 24 | -1 1 2 |

Structural model:
a = 5.264 Å, b = 5.799 Å, c = 7.027 Å
α = 108.13°, β = 110.43°, γ = 90.28°
Space group P-1 (No. 2)
Asymmetric unit:
1 Nb 0.078 0.187 0.179
2 Nb 0.411 0.314 0.820
3 O 0.162 0.139 0.903
4 O 0.246 0.641 0.902
5 F 0.116 0.249 0.503
6 F 0.337 0.527 0.294
7 F 0.435 0.024 0.288

Record 7
Structure and calculated powder diffraction line list of NbO2F (a crystal structure in the Materials Project, relaxed with GGA-PBE; Cu Kα, 1.54184 Å).
Kinematic intensities with the Lorentz-polarization factor, no thermal factor.

Principal peaks in the range 2θ = 10–80°, most intense first:
| d [Å] | intensity | index |
| --- | --- | --- |
| 4.075 | 100 | 0 0 2 |
| 4.008 | 99 | 1 0 0 |
| 3.907 | 97 | 0 2 0 |
| 2.798 | 37 | 1 2 0 |
| 2.820 | 36 | 0 2 2 |
| 2.857 | 35 | 1 0 2 |
| 2.004 | 23 | 2 0 0 |
| 2.038 | 22 | 0 0 4 |
| 1.954 | 21 | 0 4 0 |
| 1.783 | 20 | 2 2 0 |

Structural model:
a = 4.008 Å, b = 7.814 Å, c = 8.151 Å
α = 90.00°, β = 90.00°, γ = 90.00°
Space group Amm2 (No. 38)
Asymmetric unit:
1 Nb 0.000 0.000 0.000
2 Nb 0.000 0.000 0.473
3 O 0.000 0.000 0.226
4 O 0.000 0.246 0.975
5 O 0.500 0.000 0.479
6 F 0.000 0.000 0.730
7 F 0.500 0.000 0.971

Record 8
Structure and calculated powder diffraction line list of NbO2F (a crystal structure in the Materials Project, relaxed with GGA-PBE; Cu Kα, 1.54184 Å).
Kinematic intensities with the Lorentz-polarization factor, no thermal factor.

Principal peaks in the range 2θ = 10–80°, most intense first:
| d [Å] | intensity | index |
| --- | --- | --- |
| 3.909 | 100 | 1 0 0 |
| 4.155 | 53 | 0 0 1 |
| 2.847 | 36 | 1 0 1 |
| 1.835 | 22 | 1 0 2 |
| 1.955 | 22 | 2 0 0 |
| 2.764 | 20 | 1 1 0 |
| 1.748 | 19 | 2 1 0 |
| 1.769 | 17 | 2 0 1 |
| 1.338 | 14 | 2 1 2 |
| 1.611 | 14 | 2 1 1 |

Structural model:
a = 3.909 Å, b = 3.909 Å, c = 4.155 Å
α = 90.00°, β = 90.00°, γ = 90.00°
Space group P4/mmm (No. 123)
Asymmetric unit:
1 Nb 0.000 0.000 0.000
2 O 0.000 0.500 0.000
3 F 0.000 0.000 0.500

Record 9
Structure and calculated powder diffraction line list of Nb5O12F (a crystal structure in the Materials Project, relaxed with GGA-PBE; Cu Kα, 1.54184 Å).
Kinematic intensities with the Lorentz-polarization factor, no thermal factor.

Principal peaks in the range 2θ = 10–80°, most intense first:
| d [Å] | intensity | index |
| --- | --- | --- |
| 3.186 | 100 | 5 0 1 |
| 3.892 | 80 | 0 1 0 |
| 2.465 | 44 | 5 1 1 |
| 1.663 | 28 | 0 2 2 |
| 1.839 | 22 | 10 0 0 |
| 1.946 | 21 | 0 2 0 |
| 1.661 | 20 | 5 2 1 |
| 1.337 | 14 | 10 2 0 |
| 1.593 | 9 | 10 0 2 |
| 5.240 | 8 | 2 0 1 |

Structural model:
a = 18.378 Å, b = 3.892 Å, c = 6.379 Å
α = 90.00°, β = 90.00°, γ = 90.00°
Space group Pmma (No. 51)
Asymmetric unit:
1 Nb 0.063 0.000 0.191
2 Nb 0.145 0.000 0.727
3 Nb 0.250 0.000 0.282
4 O 0.048 0.000 0.876
5 O 0.060 0.500 0.207
6 O 0.134 0.500 0.708
7 O 0.144 0.000 0.406
8 O 0.174 0.000 0.034
9 O 0.250 0.000 0.645
10 O 0.250 0.500 0.296
11 F 0.000 0.000 0.500

Record 10
Structure and calculated powder diffraction line list of NbO2F (a crystal structure in the Materials Project, relaxed with GGA-PBE; Cu Kα, 1.54184 Å).
Kinematic intensities with the Lorentz-polarization factor, no thermal factor.

Principal peaks in the range 2θ = 10–80°, most intense first:
| d [Å] | intensity | index |
| --- | --- | --- |
| 4.139 | 100 | 0 1 2 |
| 3.972 | 96 | 1 0 2 |
| 3.891 | 95 | 1 1 -2 |
| 2.780 | 36 | 0 1 -4 |
| 2.835 | 35 | 1 2 0 |
| 2.069 | 24 | 0 2 4 |
| 1.946 | 21 | 2 2 -4 |
| 1.986 | 20 | 2 0 4 |
| 1.827 | 19 | 1 3 2 |
| 1.747 | 18 | 1 2 -6 |

Structural model:
a = 5.563 Å, b = 5.679 Å, c = 13.838 Å
α = 87.20°, β = 89.19°, γ = 61.52°
Space group P-1 (No. 2)
Asymmetric unit:
1 Nb 0.028 0.484 0.250
2 Nb 0.323 0.839 0.583
3 Nb 0.378 0.793 0.082
4 O 0.000 0.000 0.500
5 O 0.154 0.676 0.167
6 O 0.172 0.664 0.666
7 O 0.332 0.334 0.334
8 O 0.334 0.334 0.831
9 O 0.500 0.000 0.000
10 O 0.500 0.000 0.500
11 O 0.500 0.500 0.000
12 F 0.000 0.000 0.000
13 F 0.164 0.168 0.166
14 F 0.167 0.167 0.666
15 F 0.500 0.500 0.500

Record 11
Structure and calculated powder diffraction line list of NbO2F (a crystal structure in the Materials Project, relaxed with GGA-PBE; Cu Kα, 1.54184 Å).
Kinematic intensities with the Lorentz-polarization factor, no thermal factor.

Principal peaks in the range 2θ = 10–80°, most intense first:
| d [Å] | intensity | index |
| --- | --- | --- |
| 3.466 | 100 | 0 1 2 |
| 3.405 | 78 | 1 0 2 |
| 4.649 | 59 | 0 1 1 |
| 4.497 | 32 | 1 0 1 |
| 3.747 | 31 | 1 1 0 |
| 1.731 | 31 | 2 2 2 |
| 2.884 | 27 | 1 1 2 |
| 2.339 | 21 | 2 1 0 |
| 2.402 | 18 | 1 2 0 |
| 1.934 | 15 | 1 1 4 |

Structural model:
a = 5.185 Å, b = 5.422 Å, c = 9.032 Å
α = 90.00°, β = 90.00°, γ = 90.00°
Space group P2_12_12_1 (No. 19)
Asymmetric unit:
1 Nb 0.151 0.137 0.129
2 O 0.046 0.657 0.538
3 O 0.059 0.404 0.253
4 F 0.089 0.123 0.622

Record 12
Structure and calculated powder diffraction line list of Nb3O7F (a crystal structure in the Materials Project, relaxed with GGA-PBE; Cu Kα, 1.54184 Å).
Kinematic intensities with the Lorentz-polarization factor, no thermal factor.

Principal peaks in the range 2θ = 10–80°, most intense first:
| d [Å] | intensity | index |
| --- | --- | --- |
| 3.911 | 100 | 0 0 1 |
| 3.171 | 76 | 1 3 0 |
| 3.277 | 57 | 2 0 0 |
| 2.463 | 29 | 1 3 1 |
| 1.871 | 25 | 3 3 0 |
| 2.512 | 25 | 2 0 1 |
| 1.955 | 23 | 0 0 2 |
| 1.664 | 21 | 1 3 2 |
| 1.688 | 19 | 3 3 1 |
| 2.092 | 17 | 2 4 0 |

Structural model:
a = 6.554 Å, b = 10.870 Å, c = 3.911 Å
α = 90.00°, β = 90.00°, γ = 90.00°
Space group Cmmm (No. 65)
Asymmetric unit:
1 Nb 0.000 0.000 0.000
2 Nb 0.000 0.301 0.000
3 O 0.000 0.000 0.500
4 O 0.000 0.311 0.500
5 O 0.192 0.146 0.000
6 F 0.000 0.500 0.000